# 1
AgWS4: simulated PXRD pattern (Cu Kα), based on a PBE-relaxed structure.

Atomic structure:
```
AgWS4
1.0
1.748 -6.271 0.000
1.748 6.271 0.000
0.000 0.000 5.681
Ag W S
1 1 4
Cartesian
0.000 0.000 0.000 Ag
1.748 0.000 2.588 W
1.748 4.790 3.511 S
1.748 1.712 1.039 S
1.748 -1.712 1.039 S
1.748 -4.790 3.511 S
```

Top 6 peaks for 2θ from 10° to 90°, by angle:
d/Å, Rel. int.
6.271, 100
2.896, 51
2.587, 23
2.425, 53
2.105, 20
1.918, 26

=====

# 2
Ag15Sb: simulated PXRD pattern (Cu Kα), based on a PBE-relaxed structure.

Atomic structure:
```
Ag15Sb
1.0
5.020 0.000 0.000
0.000 35.098 0.000
-1.656 0.000 4.734
Ag Sb
30 2
Cartesian
-0.414 0.740 1.183 Ag
-1.242 2.225 3.550 Ag
-0.414 3.701 1.183 Ag
-1.242 5.202 3.550 Ag
-0.414 6.679 1.183 Ag
-1.242 8.180 3.550 Ag
-0.414 9.719 1.183 Ag
-1.242 25.378 3.550 Ag
-0.414 26.918 1.183 Ag
-1.242 28.419 3.550 Ag
-0.414 29.895 1.183 Ag
-1.242 31.396 3.550 Ag
-0.414 32.872 1.183 Ag
-1.242 34.357 3.550 Ag
1.268 0.734 3.550 Ag
2.096 2.231 1.183 Ag
1.268 3.697 3.550 Ag
2.096 5.192 1.183 Ag
1.268 6.679 3.550 Ag
2.096 8.141 1.183 Ag
1.268 9.722 3.550 Ag
2.096 11.165 1.183 Ag
1.268 23.933 3.550 Ag
2.096 25.376 1.183 Ag
1.268 26.956 3.550 Ag
2.096 28.418 1.183 Ag
1.268 29.906 3.550 Ag
2.096 31.400 1.183 Ag
1.268 32.867 3.550 Ag
2.096 34.364 1.183 Ag
-1.242 11.195 3.550 Sb
-0.414 23.903 1.183 Sb
```

Top 6 peaks for 2θ from 10° to 90°, by angle:
d/Å, Rel. int.
2.516, 36
2.379, 82
2.367, 100
2.061, 53
2.045, 36
1.452, 41

=====

# 3
Ag9Sb: simulated PXRD pattern (Cu Kα), based on a PBE-relaxed structure.

Atomic structure:
```
Ag9Sb
1.0
2.958 0.000 0.000
0.000 2.958 0.000
0.000 0.000 50.125
Ag Sb
18 2
Cartesian
0.740 0.740 1.011 Ag
0.740 0.740 5.042 Ag
0.740 0.740 9.069 Ag
0.740 0.740 13.113 Ag
0.740 0.740 17.220 Ag
0.740 0.740 34.974 Ag
0.740 0.740 39.038 Ag
0.740 0.740 43.071 Ag
0.740 0.740 47.096 Ag
2.219 2.219 3.029 Ag
2.219 2.219 7.054 Ag
2.219 2.219 11.086 Ag
2.219 2.219 15.151 Ag
2.219 2.219 32.905 Ag
2.219 2.219 37.012 Ag
2.219 2.219 41.056 Ag
2.219 2.219 45.083 Ag
2.219 2.219 49.114 Ag
0.740 0.740 30.566 Sb
2.219 2.219 19.559 Sb
```

Top 6 peaks for 2θ from 10° to 90°, by angle:
d/Å, Rel. int.
2.414, 100
2.347, 44
2.091, 53
1.479, 22
1.447, 18
1.261, 24

=====

# 4
Ag3Sb11: simulated PXRD pattern (Cu Kα), based on a PBE-relaxed structure.

Atomic structure:
```
Ag3Sb11
1.0
7.575 -4.359 0.000
7.575 4.359 0.000
-3.225 0.000 6.633
Ag Sb
3 11
Cartesian
0.000 0.000 0.000 Ag
2.052 0.000 6.143 Ag
9.623 0.000 0.523 Ag
5.459 2.453 3.399 Sb
2.687 0.000 0.709 Sb
4.415 1.625 5.994 Sb
8.512 2.264 4.538 Sb
6.540 0.000 2.282 Sb
10.301 1.992 2.314 Sb
4.415 -1.625 5.994 Sb
5.459 -2.453 3.399 Sb
9.199 0.000 6.160 Sb
8.512 -2.264 4.538 Sb
10.301 -1.992 2.314 Sb
```

Top 6 peaks for 2θ from 10° to 90°, by angle:
d/Å, Rel. int.
3.682, 60
3.643, 100
3.406, 63
2.933, 36
2.178, 55
2.128, 70

=====

# 5
Ag7Sb: simulated PXRD pattern (Cu Kα), based on a PBE-relaxed structure.

Atomic structure:
```
Ag7Sb
1.0
2.928 0.000 0.000
0.000 2.928 0.000
0.000 0.000 42.281
Ag Sb
14 2
Cartesian
0.732 0.732 1.031 Ag
0.732 0.732 5.158 Ag
0.732 0.732 9.260 Ag
0.732 0.732 13.395 Ag
0.732 0.732 30.967 Ag
0.732 0.732 35.067 Ag
0.732 0.732 39.185 Ag
2.196 2.196 3.097 Ag
2.196 2.196 7.214 Ag
2.196 2.196 11.314 Ag
2.196 2.196 28.886 Ag
2.196 2.196 33.021 Ag
2.196 2.196 37.123 Ag
2.196 2.196 41.250 Ag
0.732 0.732 26.532 Sb
2.196 2.196 15.749 Sb
```

Top 6 peaks for 2θ from 10° to 90°, by angle:
d/Å, Rel. int.
2.407, 100
2.329, 23
2.114, 12
2.070, 39
1.479, 15
1.251, 23

=====

# 6
Ag9Sb: simulated PXRD pattern (Cu Kα), based on a PBE-relaxed structure.

Atomic structure:
```
Ag9Sb
1.0
2.955 0.000 0.000
0.000 4.042 0.000
0.000 0.000 40.950
Ag Sb
18 2
Cartesian
0.739 1.010 0.730 Ag
0.739 1.010 3.646 Ag
0.739 1.010 6.571 Ag
0.739 1.010 9.515 Ag
0.739 1.010 12.522 Ag
0.739 1.010 29.948 Ag
0.739 1.010 32.903 Ag
0.739 1.010 35.842 Ag
0.739 1.010 38.764 Ag
2.216 3.031 2.186 Ag
2.216 3.031 5.108 Ag
2.216 3.031 8.047 Ag
2.216 3.031 11.002 Ag
2.216 3.031 28.428 Ag
2.216 3.031 31.435 Ag
2.216 3.031 34.379 Ag
2.216 3.031 37.304 Ag
2.216 3.031 40.220 Ag
0.739 1.010 26.836 Sb
2.216 3.031 14.114 Sb
```

Top 6 peaks for 2θ from 10° to 90°, by angle:
d/Å, Rel. int.
2.385, 100
2.370, 85
2.079, 52
2.020, 30
1.449, 31
1.254, 20

=====

# 7
Ag7Sb: simulated PXRD pattern (Cu Kα), based on a PBE-relaxed structure.

Atomic structure:
```
Ag7Sb
1.0
2.941 0.000 0.000
0.000 4.092 0.000
0.000 0.000 35.146
Ag Sb
14 2
Cartesian
0.735 1.023 0.717 Ag
0.735 1.023 3.602 Ag
0.735 1.023 6.509 Ag
0.735 1.023 9.496 Ag
0.735 1.023 27.159 Ag
0.735 1.023 30.081 Ag
0.735 1.023 32.980 Ag
2.206 3.069 2.166 Ag
2.206 3.069 5.065 Ag
2.206 3.069 7.987 Ag
2.206 3.069 25.649 Ag
2.206 3.069 28.636 Ag
2.206 3.069 31.544 Ag
2.206 3.069 34.429 Ag
0.735 1.023 24.108 Sb
2.206 3.069 11.038 Sb
```

Top 6 peaks for 2θ from 10° to 90°, by angle:
d/Å, Rel. int.
2.387, 100
2.382, 73
2.075, 48
2.045, 31
1.457, 29
1.237, 20

=====

# 8
Ag5SbSe4: simulated PXRD pattern (Cu Kα), based on a PBE-relaxed structure.

Atomic structure:
```
Ag5SbSe4
1.0
4.083 -6.488 0.000
4.083 6.488 0.000
0.000 0.000 8.796
Ag Sb Se
10 2 8
Cartesian
1.520 0.741 2.964 Ag
4.083 4.573 4.398 Ag
2.626 1.520 5.698 Ag
1.520 -0.741 7.362 Ag
2.626 -1.520 1.300 Ag
5.541 1.520 5.698 Ag
6.647 0.741 2.964 Ag
5.541 -1.520 1.300 Ag
4.083 -4.573 0.000 Ag
6.647 -0.741 7.362 Ag
4.083 2.311 0.564 Sb
4.083 -2.311 4.962 Sb
2.152 3.088 7.774 Se
4.083 6.055 1.131 Se
4.083 0.132 3.939 Se
6.014 3.088 7.774 Se
2.152 -3.088 3.376 Se
4.083 -0.132 8.337 Se
4.083 -6.055 5.529 Se
6.014 -3.088 3.376 Se
```

Top 6 peaks for 2θ from 10° to 90°, by angle:
d/Å, Rel. int.
3.216, 100
3.044, 91
2.992, 99
2.672, 93
2.279, 79
2.199, 57

=====

# 9
Ag3SbSe3: simulated PXRD pattern (Cu Kα), based on a PBE-relaxed structure.

Atomic structure:
```
Ag3SbSe3
1.0
5.790 3.343 2.953
-5.790 3.343 2.953
0.000 -6.686 2.953
Ag Sb Se
6 2 6
Cartesian
-2.093 -2.535 2.953 Ag
-4.641 -0.263 4.429 Ag
-1.149 3.080 2.953 Ag
2.549 -3.888 4.429 Ag
3.242 -0.545 2.953 Ag
2.093 4.151 4.429 Ag
0.000 0.000 1.142 Sb
0.000 0.000 5.572 Sb
-3.767 -2.370 5.649 Se
-2.024 0.973 4.172 Se
0.169 -2.239 4.172 Se
1.855 1.266 4.172 Se
-0.169 4.447 5.649 Se
3.936 -2.077 5.649 Se
```

Top 6 peaks for 2θ from 10° to 90°, by angle:
d/Å, Rel. int.
3.343, 43
2.880, 100
2.654, 54
2.631, 53
2.356, 31
2.042, 36